(1)
Calculated powder XRD pattern
Compound: K2ZnIn3Ga4
Radiation: Cu Kα (weighted mean of Kα1 and Kα2)
Structure: the PBE geometry in Alexandria

Crystal structure
Unit cell a=4.669 b=4.669 c=11.814 alpha=90.00 beta=90.00 gamma=90.00
Fractional positions:
K: 0.000 0.500 0.246
K: 0.500 0.000 0.754
Zn: 0.500 0.500 0.000
In: 0.000 0.000 0.000
In: 0.000 0.500 0.637
In: 0.500 0.000 0.363
Ga: 0.000 0.000 0.500
Ga: 0.000 0.500 0.872
Ga: 0.500 0.000 0.128
Ga: 0.500 0.500 0.500

Most intense lines, 10 to 80 degrees two-theta, low angle first:
15.00 deg, I = 291
20.45 deg, I = 553
29.68 deg, I = 496
31.03 deg, I = 1000
38.57 deg, I = 826
41.00 deg, I = 858
42.90 deg, I = 323
55.69 deg, I = 271
59.04 deg, I = 239
71.44 deg, I = 319

(2)
Calculated powder XRD pattern
Compound: LiPm3Sn4
Radiation: Cu Kα (weighted mean of Kα1 and Kα2)
Structure: the PBE geometry in Alexandria

Crystal structure
Unit cell a=9.044 b=9.044 c=9.044 alpha=150.93 beta=137.24 gamma=52.54
Fractional positions:
Li: 0.000 0.000 0.000
Pm: 0.197 0.697 0.500
Pm: 0.500 0.500 0.000
Pm: 0.803 0.303 0.500
Sn: 0.160 0.879 0.282
Sn: 0.403 0.121 0.282
Sn: 0.597 0.879 0.718
Sn: 0.840 0.121 0.718

Most intense lines, 10 to 80 degrees two-theta, low angle first:
21.25 deg, I = 270
26.25 deg, I = 435
34.01 deg, I = 1000
35.08 deg, I = 318
37.60 deg, I = 190
39.71 deg, I = 221
44.50 deg, I = 119
54.01 deg, I = 189
66.93 deg, I = 109
68.44 deg, I = 136

(3)
Calculated powder XRD pattern
Compound: RbSiSe2N
Radiation: Cu Kα (weighted mean of Kα1 and Kα2)
Structure: the PBE geometry in Alexandria

Crystal structure
Unit cell a=5.794 b=5.794 c=3.246 alpha=90.00 beta=90.00 gamma=90.00
Fractional positions:
Rb: 0.000 0.000 0.000
Si: 0.500 0.500 0.500
Se: 0.000 0.500 0.500
Se: 0.500 0.000 0.500
N: 0.500 0.500 0.000

Most intense lines, 10 to 80 degrees two-theta, low angle first:
30.86 deg, I = 1000
31.59 deg, I = 232
35.27 deg, I = 885
44.21 deg, I = 357
44.75 deg, I = 176
57.78 deg, I = 405
64.31 deg, I = 113
65.97 deg, I = 210
73.02 deg, I = 156
74.59 deg, I = 147

(4)
Calculated powder XRD pattern
Compound: Li6Cd2Pt
Radiation: Cu Kα (weighted mean of Kα1 and Kα2)
Structure: the PBE geometry in Alexandria

Crystal structure
Unit cell a=5.328 b=5.328 c=5.247 alpha=94.70 beta=94.70 gamma=95.41
Fractional positions:
Li: 0.159 0.499 0.339
Li: 0.159 0.841 0.000
Li: 0.499 0.159 0.339
Li: 0.501 0.841 0.661
Li: 0.841 0.159 0.000
Li: 0.841 0.501 0.661
Cd: 0.330 0.330 0.829
Cd: 0.670 0.670 0.171
Pt: 0.000 0.000 0.500

Most intense lines, 10 to 80 degrees two-theta, low angle first:
22.56 deg, I = 517
22.87 deg, I = 1000
32.14 deg, I = 196
39.65 deg, I = 553
39.79 deg, I = 294
39.96 deg, I = 270
40.35 deg, I = 141
46.72 deg, I = 149
51.92 deg, I = 100
71.88 deg, I = 151

(5)
Calculated powder XRD pattern
Compound: InCl2
Radiation: Cu Kα (weighted mean of Kα1 and Kα2)
Structure: the PBE geometry in Alexandria

Crystal structure
Unit cell a=7.707 b=10.346 c=10.184 alpha=90.00 beta=90.00 gamma=90.00
Fractional positions:
In: 0.188 0.250 0.250
In: 0.250 0.000 0.681
In: 0.250 0.500 0.819
In: 0.312 0.750 0.250
In: 0.688 0.250 0.750
In: 0.750 0.000 0.319
In: 0.750 0.500 0.181
In: 0.812 0.750 0.750
Cl: 0.002 0.541 0.313
Cl: 0.002 0.959 0.187
Cl: 0.162 0.682 0.949
Cl: 0.162 0.818 0.551
Cl: 0.338 0.182 0.551
Cl: 0.338 0.318 0.949
Cl: 0.498 0.041 0.187
Cl: 0.498 0.459 0.313
Cl: 0.502 0.541 0.687
Cl: 0.502 0.959 0.813
Cl: 0.662 0.682 0.051
Cl: 0.662 0.818 0.449
Cl: 0.838 0.182 0.449
Cl: 0.838 0.318 0.051
Cl: 0.998 0.041 0.813
Cl: 0.998 0.459 0.687

Most intense lines, 10 to 80 degrees two-theta, low angle first:
17.42 deg, I = 385
22.47 deg, I = 1000
22.62 deg, I = 276
30.34 deg, I = 195
33.65 deg, I = 262
36.32 deg, I = 206
37.13 deg, I = 177
39.06 deg, I = 165
40.20 deg, I = 172
45.85 deg, I = 174

(6)
Calculated powder XRD pattern
Compound: Zr8CoNi2
Radiation: Cu Kα (weighted mean of Kα1 and Kα2)
Structure: the PBE geometry in Alexandria

Crystal structure
Unit cell a=11.129 b=11.129 c=4.542 alpha=101.72 beta=101.72 gamma=23.57
Fractional positions:
Zr: 0.072 0.072 0.073
Zr: 0.172 0.172 0.672
Zr: 0.325 0.325 0.826
Zr: 0.428 0.428 0.427
Zr: 0.572 0.572 0.573
Zr: 0.675 0.675 0.174
Zr: 0.828 0.828 0.328
Zr: 0.928 0.928 0.927
Co: 0.000 0.000 0.500
Ni: 0.250 0.250 0.251
Ni: 0.750 0.750 0.749

Most intense lines, 10 to 80 degrees two-theta, low angle first:
29.03 deg, I = 158
33.64 deg, I = 74
37.75 deg, I = 1000
39.67 deg, I = 476
51.45 deg, I = 96
52.97 deg, I = 80
57.35 deg, I = 156
66.86 deg, I = 129
68.16 deg, I = 93
70.72 deg, I = 302

(7)
Calculated powder XRD pattern
Compound: Be2SiAg
Radiation: Cu Kα (weighted mean of Kα1 and Kα2)
Structure: the PBE geometry in Alexandria

Crystal structure
Unit cell a=7.743 b=7.743 c=7.743 alpha=20.59 beta=20.59 gamma=20.59
Fractional positions:
Be: 0.246 0.246 0.246
Be: 0.754 0.754 0.754
Si: 0.500 0.500 0.500
Ag: 0.000 0.000 0.000

Most intense lines, 10 to 80 degrees two-theta, low angle first:
11.68 deg, I = 1000
23.49 deg, I = 542
37.74 deg, I = 201
38.39 deg, I = 448
40.87 deg, I = 523
42.65 deg, I = 145
49.78 deg, I = 286
55.74 deg, I = 145
67.72 deg, I = 110
72.76 deg, I = 126

(8)
Calculated powder XRD pattern
Compound: Cs2MgBr2Cl2
Radiation: Cu Kα (weighted mean of Kα1 and Kα2)
Structure: the PBE geometry in Alexandria

Crystal structure
Unit cell a=9.676 b=9.676 c=9.676 alpha=148.63 beta=148.63 gamma=44.96
Fractional positions:
Cs: 0.139 0.139 0.000
Cs: 0.861 0.861 0.000
Mg: 0.500 0.500 0.000
Br: 0.350 0.350 0.000
Br: 0.650 0.650 0.000
Cl: 0.000 0.500 0.500
Cl: 0.500 0.000 0.500

Most intense lines, 10 to 80 degrees two-theta, low angle first:
19.86 deg, I = 329
24.06 deg, I = 782
26.07 deg, I = 195
29.98 deg, I = 212
31.39 deg, I = 1000
34.28 deg, I = 598
39.93 deg, I = 225
46.17 deg, I = 243
49.26 deg, I = 206
59.58 deg, I = 330

(9)
Calculated powder XRD pattern
Compound: Nd2MgAg5
Radiation: Cu Kα (weighted mean of Kα1 and Kα2)
Structure: the PBE geometry in Alexandria

Crystal structure
Unit cell a=7.879 b=7.879 c=7.879 alpha=142.61 beta=142.61 gamma=53.91
Fractional positions:
Nd: 0.241 0.241 0.000
Nd: 0.759 0.759 0.000
Mg: 0.500 0.500 0.000
Ag: 0.000 0.000 0.000
Ag: 0.105 0.605 0.500
Ag: 0.395 0.895 0.500
Ag: 0.605 0.105 0.500
Ag: 0.895 0.395 0.500

Most intense lines, 10 to 80 degrees two-theta, low angle first:
18.67 deg, I = 83
28.03 deg, I = 191
35.55 deg, I = 593
35.86 deg, I = 1000
51.15 deg, I = 203
53.36 deg, I = 89
64.04 deg, I = 349
64.66 deg, I = 106
75.25 deg, I = 62
76.01 deg, I = 66

(10)
Calculated powder XRD pattern
Compound: Ba6Na15Hg8
Radiation: Cu Kα (weighted mean of Kα1 and Kα2)
Structure: the PBE geometry in Alexandria

Crystal structure
Unit cell a=11.481 b=11.481 c=11.481 alpha=60.00 beta=60.00 gamma=60.00
Fractional positions:
Ba: 0.244 0.244 0.756
Ba: 0.244 0.756 0.244
Ba: 0.244 0.756 0.756
Ba: 0.756 0.244 0.244
Ba: 0.756 0.244 0.756
Ba: 0.756 0.756 0.244
Na: 0.000 0.000 0.000
Na: 0.000 0.000 0.500
Na: 0.000 0.500 0.000
Na: 0.000 0.500 0.500
Na: 0.014 0.329 0.329
Na: 0.329 0.014 0.329
Na: 0.329 0.329 0.014
Na: 0.329 0.329 0.329
Na: 0.500 0.000 0.000
Na: 0.500 0.000 0.500
Na: 0.500 0.500 0.000
Na: 0.671 0.671 0.671
Na: 0.671 0.671 0.986
Na: 0.671 0.986 0.671
Na: 0.986 0.671 0.671
Hg: 0.134 0.134 0.134
Hg: 0.134 0.134 0.599
Hg: 0.134 0.599 0.134
Hg: 0.401 0.866 0.866
Hg: 0.599 0.134 0.134
Hg: 0.866 0.401 0.866
Hg: 0.866 0.866 0.401
Hg: 0.866 0.866 0.866

Most intense lines, 10 to 80 degrees two-theta, low angle first:
18.12 deg, I = 308
18.93 deg, I = 152
23.89 deg, I = 211
24.52 deg, I = 118
31.16 deg, I = 1000
32.63 deg, I = 161
42.78 deg, I = 190
44.65 deg, I = 152
55.45 deg, I = 331
73.83 deg, I = 119

Please write out number 7 again, unchanged.
Calculated powder XRD pattern
Compound: Be2SiAg
Radiation: Cu Kα (weighted mean of Kα1 and Kα2)
Structure: the PBE geometry in Alexandria

Crystal structure
Unit cell a=7.743 b=7.743 c=7.743 alpha=20.59 beta=20.59 gamma=20.59
Fractional positions:
Be: 0.246 0.246 0.246
Be: 0.754 0.754 0.754
Si: 0.500 0.500 0.500
Ag: 0.000 0.000 0.000

Most intense lines, 10 to 80 degrees two-theta, low angle first:
11.68 deg, I = 1000
23.49 deg, I = 542
37.74 deg, I = 201
38.39 deg, I = 448
40.87 deg, I = 523
42.65 deg, I = 145
49.78 deg, I = 286
55.74 deg, I = 145
67.72 deg, I = 110
72.76 deg, I = 126